# 1
The following is a theoretical powder diffractogram of RbTl2Te6. It was derived from a crystal structure in Alexandria, relaxed with PBE, using CuKα.
Lines closer than 0.1° are merged.

Crystal structure
abc: 14.074 11.574 4.558
angles: 90.00 108.66 90.00
Space group Cm (No. 8)
Unique sites:
Rb1 0.000 0.000 0.000 (multiplicity 2)
Tl1 0.167 0.500 0.692 (multiplicity 2)
Tl2 0.333 0.000 0.302 (multiplicity 2)
Te1 0.000 0.263 0.499 (multiplicity 4)
Te2 0.168 0.258 0.192 (multiplicity 4)
Te3 0.331 0.242 0.803 (multiplicity 4)

Largest 6 diffraction maxima, by angle, 10 to 80 degrees two-theta:
2θ (°)  I_rel
20.9  44.2
21.4  44.8
30.9  56.0
32.0  99.7
32.2  100.0
55.7  38.5

---

# 2
The following is a theoretical powder diffractogram of RbTl2Te2. It was derived from a crystal structure in Alexandria, relaxed with PBE, using CuKα.
Lines closer than 0.1° are merged.

Crystal structure
abc: 4.6430 4.6430 31.9829
angles: 90.00 90.00 120.00
Space group R-3m (No. 166, hexagonal axes)
Unique sites:
Rb1 0.0000 0.0000 0.0000 (multiplicity 3)
Tl1 0.0000 0.0000 0.2039 (multiplicity 6)
Te1 0.0000 0.0000 0.4130 (multiplicity 6)

Largest 6 diffraction maxima, by angle, 10 to 80 degrees two-theta:
2θ (°)  I_rel
26.2  100.0
35.9  36.1
38.8  37.9
47.4  20.1
58.8  12.4
62.8  17.3

---

# 3
The following is a theoretical powder diffractogram of RbTm5Te8. It was derived from a crystal structure in Alexandria, relaxed with PBE, using CuKα.
Lines closer than 0.1° are merged.

Crystal structure
abc: 22.411 4.353 10.712
angles: 90.00 104.41 90.00
Space group Cm (No. 8)
Unique sites:
Rb1 0.000 0.000 0.000 (multiplicity 2)
Tm1 0.000 0.500 0.499 (multiplicity 2)
Tm2 0.156 0.000 0.467 (multiplicity 2)
Tm3 0.205 0.000 0.844 (multiplicity 2)
Tm4 0.295 0.500 0.155 (multiplicity 2)
Tm5 0.345 0.500 0.531 (multiplicity 2)
Te1 0.076 0.000 0.661 (multiplicity 2)
Te2 0.082 0.500 0.308 (multiplicity 2)
Te3 0.165 0.500 0.996 (multiplicity 2)
Te4 0.235 0.500 0.653 (multiplicity 2)
Te5 0.266 0.000 0.345 (multiplicity 2)
Te6 0.336 0.000 0.002 (multiplicity 2)
Te7 0.418 0.000 0.690 (multiplicity 2)
Te8 0.424 0.500 0.337 (multiplicity 2)

Largest 6 diffraction maxima, by angle, 10 to 80 degrees two-theta:
2θ (°)  I_rel
26.3  66.8
26.4  100.0
31.3  42.4
33.0  76.0
41.5  48.3
41.8  87.8

---

# 4
The following is a theoretical powder diffractogram of Rb2Tm2UTe6. It was derived from a crystal structure in Alexandria, relaxed with PBE, using CuKα.
Lines closer than 0.1° are merged.

Crystal structure
abc: 7.644 13.233 9.151
angles: 90.00 106.15 90.00
Space group C2/m (No. 12)
Unique sites:
Rb1 0.000 0.167 0.000 (multiplicity 4)
Tm1 0.000 0.332 0.500 (multiplicity 4)
U1 0.000 0.000 0.500 (multiplicity 2)
Te1 0.230 0.500 0.695 (multiplicity 4)
Te2 0.234 0.166 0.696 (multiplicity 8)

Largest 6 diffraction maxima, by angle, 10 to 80 degrees two-theta:
2θ (°)  I_rel
10.1  63.4
27.0  100.0
33.4  24.9
36.0  33.9
40.9  36.4
49.7  18.7

---

# 5
The following is a theoretical powder diffractogram of Rb3TmU3Te8. It was derived from a crystal structure in Alexandria, relaxed with PBE, using CuKα.
Lines closer than 0.1° are merged.

Crystal structure
abc: 8.963 8.997 10.159
angles: 63.88 63.87 60.20
Space group P-1 (No. 2)
Unique sites:
Rb1 0.000 0.000 0.000 (multiplicity 1)
Rb2 0.000 0.500 0.000 (multiplicity 1)
Rb3 0.500 0.000 0.000 (multiplicity 1)
Tm1 0.000 0.000 0.500 (multiplicity 1)
U1 0.000 0.500 0.500 (multiplicity 1)
U2 0.500 0.000 0.500 (multiplicity 1)
U3 0.500 0.500 0.500 (multiplicity 1)
Te1 0.230 0.736 0.303 (multiplicity 2)
Te2 0.231 0.231 0.302 (multiplicity 2)
Te3 0.263 0.769 0.698 (multiplicity 2)
Te4 0.265 0.266 0.703 (multiplicity 2)

Largest 6 diffraction maxima, by angle, 10 to 80 degrees two-theta:
2θ (°)  I_rel
10.1  58.6
26.6  100.0
33.2  22.4
35.8  23.5
40.1  24.6
48.9  12.7

---

# 6
The following is a theoretical powder diffractogram of Rb2U3Te8. It was derived from a crystal structure in Alexandria, relaxed with PBE, using CuKα.
Lines closer than 0.1° are merged.

Crystal structure
abc: 10.587 18.245 5.233
angles: 90.00 90.00 90.00
Space group Cmmm (No. 65)
Unique sites:
Rb1 0.000 0.245 0.000 (multiplicity 4)
U1 0.000 0.500 0.000 (multiplicity 2)
U2 0.222 0.000 0.500 (multiplicity 4)
Te1 0.000 0.104 0.500 (multiplicity 4)
Te2 0.000 0.406 0.500 (multiplicity 4)
Te3 0.240 0.402 0.000 (multiplicity 8)

Largest 6 diffraction maxima, by angle, 10 to 80 degrees two-theta:
2θ (°)  I_rel
19.5  20.7
31.0  100.0
33.9  22.4
34.3  25.0
38.2  37.4
49.0  17.4

---

# 7
The following is a theoretical powder diffractogram of Rb3UTe4. It was derived from a crystal structure in Alexandria, relaxed with PBE, using CuKα.
Lines closer than 0.1° are merged.

Crystal structure
abc: 8.479 12.891 7.506
angles: 90.00 90.00 90.00
Space group Imm2 (No. 44)
Unique sites:
Rb1 0.000 0.000 0.000 (multiplicity 2)
Rb2 0.000 0.275 0.328 (multiplicity 4)
U1 0.000 0.500 0.890 (multiplicity 2)
Te1 0.000 0.280 0.814 (multiplicity 4)
Te2 0.243 0.000 0.626 (multiplicity 4)

Largest 6 diffraction maxima, by angle, 10 to 80 degrees two-theta:
2θ (°)  I_rel
13.7  88.9
15.8  95.0
21.0  100.0
25.1  92.8
31.8  92.3
42.7  96.2

---

# 8
The following is a theoretical powder diffractogram of RbUTe. It was derived from a crystal structure in Alexandria, relaxed with PBE, using CuKα.
Lines closer than 0.1° are merged.

Crystal structure
abc: 4.532 5.476 20.291
angles: 90.00 90.00 90.00
Space group Immm (No. 71)
Unique sites:
Rb1 0.000 0.000 0.175 (multiplicity 4)
U1 0.000 0.255 0.500 (multiplicity 4)
Te1 0.000 0.000 0.365 (multiplicity 4)

Largest 6 diffraction maxima, by angle, 10 to 80 degrees two-theta:
2θ (°)  I_rel
20.1  100.0
23.6  41.0
26.4  46.3
37.3  41.0
40.8  33.8
44.6  44.0

---

# 9
The following is a theoretical powder diffractogram of Rb2UTe4. It was derived from a crystal structure in Alexandria, relaxed with PBE, using CuKα.
Lines closer than 0.1° are merged.

Crystal structure
abc: 7.462 4.571 9.640
angles: 90.00 110.94 90.00
Space group P2/m (No. 10)
Unique sites:
Rb1 0.213 0.000 0.351 (multiplicity 2)
U1 0.500 0.500 0.000 (multiplicity 1)
Te1 0.236 0.000 0.974 (multiplicity 2)
Te2 0.384 0.500 0.682 (multiplicity 2)

Largest 6 diffraction maxima, by angle, 10 to 80 degrees two-theta:
2θ (°)  I_rel
12.7  100.0
23.3  93.4
23.4  63.8
29.8  81.3
30.9  57.8
32.3  78.1

---

# 10
The following is a theoretical powder diffractogram of Rb3Y3ZrTe8. It was derived from a crystal structure in Alexandria, relaxed with PBE, using CuKα.
Lines closer than 0.1° are merged.

Crystal structure
abc: 8.8134 8.8134 26.2993
angles: 90.00 90.00 120.00
Space group R-3m (No. 166, hexagonal axes)
Unique sites:
Rb1 0.0000 0.5000 0.0000 (multiplicity 9)
Y1 0.0000 0.5000 0.5000 (multiplicity 9)
Zr1 0.0000 0.0000 0.5000 (multiplicity 3)
Te1 0.0000 0.0000 0.2334 (multiplicity 6)
Te2 0.0129 0.5064 0.2311 (multiplicity 18)

Largest 6 diffraction maxima, by angle, 10 to 80 degrees two-theta:
2θ (°)  I_rel
10.1  27.8
27.0  100.0
33.5  16.5
36.1  30.8
41.0  36.7
49.8  17.9

---

# 11
The following is a theoretical powder diffractogram of Rb2Zn2Te3. It was derived from a crystal structure in Alexandria, relaxed with PBE, using CuKα.
Lines closer than 0.1° are merged.

Crystal structure
abc: 19.779 4.541 13.810
angles: 90.00 117.11 90.00
Space group C2/m (No. 12)
Unique sites:
Rb1 0.071 0.000 0.442 (multiplicity 4)
Rb2 0.243 0.000 0.836 (multiplicity 4)
Zn1 0.054 0.500 0.823 (multiplicity 4)
Zn2 0.062 0.000 0.123 (multiplicity 4)
Te1 0.097 0.500 0.673 (multiplicity 4)
Te2 0.099 0.000 0.958 (multiplicity 4)
Te3 0.102 0.500 0.244 (multiplicity 4)

Largest 6 diffraction maxima, by angle, 10 to 80 degrees two-theta:
2θ (°)  I_rel
10.0  66.7
26.2  100.0
30.1  37.3
30.5  41.0
38.2  32.8
39.7  32.3

---

# 12
The following is a theoretical powder diffractogram of Rb3Zn2Te4. It was derived from a crystal structure in Alexandria, relaxed with PBE, using CuKα.
Lines closer than 0.1° are merged.

Crystal structure
abc: 4.250 10.158 10.280
angles: 63.64 78.08 77.94
Space group P-1 (No. 2)
Unique sites:
Rb1 0.000 0.000 0.000 (multiplicity 1)
Rb2 0.119 0.352 0.410 (multiplicity 2)
Zn1 0.328 0.392 0.951 (multiplicity 2)
Te1 0.218 0.699 0.866 (multiplicity 2)
Te2 0.479 0.302 0.740 (multiplicity 2)

Largest 6 diffraction maxima, by angle, 10 to 80 degrees two-theta:
2θ (°)  I_rel
19.7  18.6
27.2  100.0
27.6  19.6
29.7  32.9
31.1  33.5
42.5  18.7